The following is a calculated powder diffraction line list of TiPCl9. It was derived from DFT lattice parameters and positions (GGA-PBE), using a wavelength of 1.5418 Å.
Intensities are scaled so that the largest is 100.

Structural model:
```
data_TiPCl9
_chemical_formula_sum 'Ti2 P2 Cl18'
_symmetry_space_group_name_H-M 'P -1'
_symmetry_Int_Tables_number 2
_cell_length_a 7.277
_cell_length_b 9.251
_cell_length_c 9.863
_cell_angle_alpha 101.35
_cell_angle_beta 97.11
_cell_angle_gamma 95.33
loop_
_symmetry_equiv_pos_as_xyz
'x,y,z'
'-x,-y,-z'
loop_
_atom_site_label
_atom_site_type_symbol
_atom_site_fract_x
_atom_site_fract_y
_atom_site_fract_z
Ti1 Ti 0.112 0.136 0.175
P1 P 0.448 0.304 0.723
Cl1 Cl 0.018 0.741 0.641
Cl2 Cl 0.080 0.329 0.061
Cl3 Cl 0.125 0.929 0.276
Cl4 Cl 0.200 0.984 0.955
Cl5 Cl 0.255 0.439 0.736
Cl6 Cl 0.337 0.110 0.615
Cl7 Cl 0.357 0.615 0.371
Cl8 Cl 0.421 0.211 0.250
Cl9 Cl 0.444 0.711 0.090
```

Peak list (10 most intense, 2θ = 10–90°, in order of falling intensity)
2θ (°)	I_rel
14.84	100
29.93	95
17.13	91
32.06	83
30.25	81
31.68	75
31.24	62
31.56	58
20.95	58
18.55	48

=====

The following is a calculated powder diffraction line list of UPCl10. It was derived from DFT lattice parameters and positions (GGA-PBE), using a wavelength of 1.5418 Å.
Intensities are scaled so that the largest is 100.

Structural model:
```
data_UPCl10
_chemical_formula_sum 'U2 P2 Cl20'
_symmetry_space_group_name_H-M 'P -1'
_symmetry_Int_Tables_number 2
_cell_length_a 7.434
_cell_length_b 7.775
_cell_length_c 14.367
_cell_angle_alpha 91.09
_cell_angle_beta 91.09
_cell_angle_gamma 105.65
loop_
_symmetry_equiv_pos_as_xyz
'x,y,z'
'-x,-y,-z'
loop_
_atom_site_label
_atom_site_type_symbol
_atom_site_fract_x
_atom_site_fract_y
_atom_site_fract_z
U1 U 0.000 0.000 0.000
U2 U 0.000 0.000 0.500
P1 P 0.383 0.588 0.262
Cl1 Cl 0.113 0.282 0.602
Cl2 Cl 0.114 0.004 0.167
Cl3 Cl 0.134 0.823 0.616
Cl4 Cl 0.142 0.523 0.196
Cl5 Cl 0.232 0.300 0.976
Cl6 Cl 0.239 0.840 0.947
Cl7 Cl 0.311 0.081 0.420
Cl8 Cl 0.344 0.584 0.396
Cl9 Cl 0.474 0.174 0.774
Cl10 Cl 0.478 0.584 0.773
```

Peak list (10 most intense, 2θ = 10–90°, in order of falling intensity)
2θ (°)	I_rel
17.30	100
12.35	94
14.63	66
16.90	60
11.82	56
17.72	54
19.18	48
19.34	40
30.21	28
32.10	26

=====

The following is a calculated powder diffraction line list of PaCl4. It was derived from DFT lattice parameters and positions (GGA-PBE), using a wavelength of 1.5418 Å.
Intensities are scaled so that the largest is 100.

Structural model:
```
data_PaCl4
_chemical_formula_sum 'Pa4 Cl16'
_symmetry_space_group_name_H-M 'I 41/a m d'
_symmetry_Int_Tables_number 141
_cell_length_a 8.438
_cell_length_b 8.438
_cell_length_c 7.749
_cell_angle_alpha 90.00
_cell_angle_beta 90.00
_cell_angle_gamma 90.00
loop_
_symmetry_equiv_pos_as_xyz
'x,y,z'
'-x,-y,-z'
'-y+1/4,x+3/4,z+1/4'
'y+1/4,-x+3/4,-z+1/4'
'-x+1/2,-y,z+1/2'
'x+1/2,y,-z+1/2'
'y+1/4,-x+1/4,z+3/4'
'-y+1/4,x+1/4,-z+3/4'
'x,-y,-z'
'-x,y,z'
'-y+1/4,-x+1/4,-z+3/4'
'y+1/4,x+1/4,z+3/4'
'-x+1/2,y,-z+1/2'
'x+1/2,-y,z+1/2'
'y+1/4,x+3/4,-z+1/4'
'-y+1/4,-x+3/4,z+1/4'
'x+1/2,y+1/2,z+1/2'
'-x+1/2,-y+1/2,-z+1/2'
'-y+3/4,x+1/4,z+3/4'
'y+3/4,-x+1/4,-z+3/4'
'-x,-y+1/2,z'
'x,y+1/2,-z'
'y+3/4,-x+3/4,z+1/4'
'-y+3/4,x+3/4,-z+1/4'
'x+1/2,-y+1/2,-z+1/2'
'-x+1/2,y+1/2,z+1/2'
'-y+3/4,-x+3/4,-z+1/4'
'y+3/4,x+3/4,z+1/4'
'-x,y+1/2,-z'
'x,-y+1/2,z'
'y+3/4,x+1/4,-z+3/4'
'-y+3/4,-x+1/4,z+3/4'
loop_
_atom_site_label
_atom_site_type_symbol
_atom_site_fract_x
_atom_site_fract_y
_atom_site_fract_z
Pa1 Pa 0.000 0.250 0.375
Cl1 Cl 0.000 0.062 0.693
```

Peak list (10 most intense, 2θ = 10–90°, in order of falling intensity)
2θ (°)	I_rel
15.53	100
21.06	61
41.07	46
27.45	37
33.91	37
40.25	31
26.27	30
36.38	28
51.66	18
55.75	17

=====

The following is a calculated powder diffraction line list of PdPb2Cl6. It was derived from DFT lattice parameters and positions (GGA-PBE), using a wavelength of 1.5418 Å.
Intensities are scaled so that the largest is 100.

Structural model:
```
data_PdPb2Cl6
_chemical_formula_sum 'Pd2 Pb4 Cl12'
_symmetry_space_group_name_H-M 'P 1 21/c 1'
_symmetry_Int_Tables_number 14
_cell_length_a 9.204
_cell_length_b 6.531
_cell_length_c 8.177
_cell_angle_alpha 90.00
_cell_angle_beta 91.22
_cell_angle_gamma 90.00
loop_
_symmetry_equiv_pos_as_xyz
'x,y,z'
'-x,-y,-z'
'-x,y+1/2,-z+1/2'
'x,-y+1/2,z+1/2'
loop_
_atom_site_label
_atom_site_type_symbol
_atom_site_fract_x
_atom_site_fract_y
_atom_site_fract_z
Pd1 Pd 0.000 0.000 0.000
Pb1 Pb 0.283 0.043 0.624
Cl1 Cl 0.060 0.203 0.358
Cl2 Cl 0.237 0.623 0.470
Cl3 Cl 0.440 0.148 0.333
```

Peak list (10 most intense, 2θ = 10–90°, in order of falling intensity)
2θ (°)	I_rel
20.01	100
25.90	41
23.63	37
35.70	29
36.42	27
27.31	18
34.31	16
47.43	16
46.23	16
17.38	16

=====

The following is a calculated powder diffraction line list of RbPbCl3. It was derived from DFT lattice parameters and positions (GGA-PBE), using a wavelength of 1.5418 Å.
Intensities are scaled so that the largest is 100.

Structural model:
```
data_RbPbCl3
_chemical_formula_sum 'Rb1 Pb1 Cl3'
_symmetry_space_group_name_H-M 'P m -3 m'
_symmetry_Int_Tables_number 221
_symmetry_space_group_name_Hall '-P 4 2 3'
_cell_length_a 5.723
_cell_length_b 5.723
_cell_length_c 5.723
_cell_angle_alpha 90.00
_cell_angle_beta 90.00
_cell_angle_gamma 90.00
loop_
_atom_site_label
_atom_site_type_symbol
_atom_site_fract_x
_atom_site_fract_y
_atom_site_fract_z
Rb1 Rb 0.000 0.000 0.000
Pb1 Pb 0.500 0.500 0.500
Cl1 Cl 0.000 0.500 0.500
```

Peak list (10 most intense, 2θ = 10–90°, in order of falling intensity)
2θ (°)	I_rel
21.96	100
31.26	53
38.53	49
15.48	41
44.79	38
60.53	27
50.42	23
35.06	23
74.09	17
86.76	16